1.
Structure and calculated powder diffraction line list of CaBi2Pb2 (a crystal structure in Alexandria, relaxed with GGA-PBE; Cu Ka).
Kinematic intensities with the Lorentz-polarization factor, no thermal factor.

Structural model:
```
CaBi2Pb2
1.0
2.365 -13.595 0.000
2.365 13.595 0.000
0.000 0.000 4.896
Ca Bi Pb
2 4 4
direct
0.158 0.842 0.750
0.842 0.158 0.250
0.250 0.750 0.250
0.361 0.639 0.750
0.639 0.361 0.250
0.750 0.250 0.750
0.049 0.951 0.250
0.448 0.552 0.250
0.552 0.448 0.750
0.951 0.049 0.750
```

Peak list (10 most intense, 10° ≤ 2θ ≤ 90°, by intensity)
d 2.884, I 100.0
d 2.719, I 19.4
d 2.448, I 16.6
d 2.365, I 15.1
d 1.484, I 14.0
d 1.600, I 13.8
d 1.447, I 13.7
d 1.701, I 12.2
d 1.819, I 12.2
d 1.442, I 11.6



2.
Structure and calculated powder diffraction line list of Ca3BiPb (a crystal structure in Alexandria, relaxed with GGA-PBE; Cu Ka).
Kinematic intensities with the Lorentz-polarization factor, no thermal factor.

Structural model:
```
Ca3BiPb
1.0
-2.688 7.932 8.245
2.688 -7.932 8.245
2.688 7.932 -8.245
Ca Bi Pb
12 4 4
direct
0.038 0.165 0.874
0.139 0.508 0.632
0.209 0.835 0.374
0.279 0.168 0.112
0.376 0.508 0.868
0.444 0.832 0.612
0.556 0.168 0.388
0.624 0.492 0.132
0.721 0.832 0.888
0.791 0.165 0.626
0.861 0.492 0.368
0.962 0.835 0.126
0.137 0.652 0.485
0.334 0.348 0.985
0.666 0.652 0.015
0.863 0.348 0.515
0.248 0.998 0.250
0.433 0.683 0.750
0.567 0.317 0.250
0.752 0.002 0.750
```

Peak list (10 most intense, 10° ≤ 2θ ≤ 90°, by intensity)
d 2.760, I 100.0
d 4.296, I 33.8
d 3.843, I 31.1
d 2.688, I 26.1
d 3.658, I 25.9
d 2.748, I 23.3
d 1.565, I 17.9
d 3.966, I 17.0
d 1.921, I 16.4
d 2.082, I 16.3



3.
Structure and calculated powder diffraction line list of CaBi3Pb3 (a crystal structure in Alexandria, relaxed with GGA-PBE; Cu Ka).
Kinematic intensities with the Lorentz-polarization factor, no thermal factor.

Structural model:
```
CaBi3Pb3
1.0
4.947 -5.068 0.000
4.947 5.068 0.000
0.000 0.000 9.482
Ca Bi Pb
2 6 6
direct
0.244 0.756 0.000
0.756 0.244 0.000
0.000 0.500 0.248
0.000 0.500 0.752
0.500 0.000 0.248
0.500 0.000 0.752
0.500 0.500 0.245
0.500 0.500 0.755
0.232 0.232 0.500
0.243 0.243 0.000
0.256 0.744 0.500
0.744 0.256 0.500
0.757 0.757 0.000
0.768 0.768 0.500
```

Peak list (10 most intense, 10° ≤ 2θ ≤ 90°, by intensity)
d 2.837, I 100.0
d 2.534, I 18.6
d 2.474, I 16.9
d 1.515, I 15.6
d 2.370, I 15.5
d 1.489, I 13.9
d 1.443, I 13.6
d 1.418, I 12.8
d 1.770, I 12.7
d 1.731, I 12.1



4.
Structure and calculated powder diffraction line list of CaPrBi4Pb2 (a crystal structure in Alexandria, relaxed with GGA-PBE; Cu Ka).
Kinematic intensities with the Lorentz-polarization factor, no thermal factor.

Structural model:
```
CaPrBi4Pb2
1.0
-3.677 3.677 4.614
3.677 -3.677 4.614
3.677 3.677 -4.614
Ca Pr Bi Pb
1 1 4 2
direct
0.000 0.000 0.000
0.500 0.500 0.000
0.000 0.000 0.500
0.000 0.500 0.000
0.500 0.000 0.000
0.500 0.500 0.500
0.000 0.500 0.500
0.500 0.000 0.500
```

Peak list (10 most intense, 10° ≤ 2θ ≤ 90°, by intensity)
d 2.876, I 100.0
d 2.600, I 38.2
d 1.549, I 32.4
d 1.726, I 22.9
d 1.839, I 14.0
d 2.307, I 13.7
d 1.438, I 12.7
d 1.123, I 12.2
d 1.419, I 12.2
d 1.185, I 7.0



5.
Structure and calculated powder diffraction line list of CaBiTe4Pb2 (a crystal structure in Alexandria, relaxed with GGA-PBE; Cu Ka).
Kinematic intensities with the Lorentz-polarization factor, no thermal factor.

Structural model:
```
CaBiTe4Pb2
1.0
7.949 0.000 0.000
0.000 4.595 0.000
-2.638 0.000 7.572
Ca Bi Te Pb
1 1 4 2
direct
0.000 0.000 0.000
0.500 0.500 0.000
0.247 0.500 0.242
0.252 0.000 0.757
0.748 0.000 0.243
0.753 0.500 0.758
0.000 0.500 0.500
0.500 0.000 0.500
```

Peak list (10 most intense, 10° ≤ 2θ ≤ 90°, by intensity)
d 3.258, I 100.0
d 2.311, I 39.2
d 2.296, I 38.8
d 1.877, I 21.1
d 1.461, I 18.5
d 1.329, I 13.6
d 1.454, I 12.3
d 1.630, I 8.9
d 1.893, I 7.1
d 1.337, I 6.8



6.
Structure and calculated powder diffraction line list of Ca12BiPd6 (a crystal structure in Alexandria, relaxed with GGA-PBE; Cu Ka).
Kinematic intensities with the Lorentz-polarization factor, no thermal factor.

Structural model:
```
Ca12BiPd6
1.0
-5.164 5.164 5.164
5.164 -5.164 5.164
5.164 5.164 -5.164
Ca Bi Pd
12 1 6
direct
0.123 0.305 0.818
0.182 0.487 0.305
0.182 0.877 0.695
0.305 0.182 0.487
0.305 0.818 0.123
0.487 0.305 0.182
0.513 0.695 0.818
0.695 0.182 0.877
0.695 0.818 0.513
0.818 0.123 0.305
0.818 0.513 0.695
0.877 0.695 0.182
0.000 0.000 0.000
0.130 0.500 0.630
0.370 0.870 0.500
0.500 0.370 0.870
0.500 0.630 0.130
0.630 0.130 0.500
0.870 0.500 0.370
```

Peak list (10 most intense, 10° ≤ 2θ ≤ 90°, by intensity)
d 2.760, I 100.0
d 5.164, I 58.9
d 2.025, I 50.1
d 2.434, I 21.7
d 1.461, I 15.0
d 1.201, I 14.9
d 4.216, I 14.7
d 1.675, I 14.5
d 1.594, I 14.3
d 1.721, I 13.2



7.
Structure and calculated powder diffraction line list of Ca2Bi5Pd3 (a crystal structure in Alexandria, relaxed with GGA-PBE; Cu Ka).
Kinematic intensities with the Lorentz-polarization factor, no thermal factor.

Structural model:
```
Ca2Bi5Pd3
1.0
2.333 -14.078 0.000
2.333 14.078 0.000
0.000 0.000 7.855
Ca Bi Pd
4 10 6
direct
0.023 0.977 0.500
0.331 0.669 0.458
0.669 0.331 0.958
0.977 0.023 0.000
0.096 0.904 0.131
0.205 0.795 0.672
0.210 0.790 0.246
0.380 0.620 0.992
0.453 0.547 0.328
0.547 0.453 0.828
0.620 0.380 0.492
0.790 0.210 0.746
0.795 0.205 0.172
0.904 0.096 0.631
0.106 0.894 0.753
0.272 0.728 0.956
0.453 0.547 0.714
0.547 0.453 0.214
0.728 0.272 0.456
0.894 0.106 0.253
```

Peak list (10 most intense, 10° ≤ 2θ ≤ 90°, by intensity)
d 2.861, I 100.0
d 2.840, I 73.3
d 2.333, I 65.6
d 2.167, I 60.0
d 2.987, I 37.0
d 5.242, I 31.9
d 4.177, I 30.8
d 2.454, I 27.8
d 2.598, I 27.0
d 2.288, I 25.5



8.
Structure and calculated powder diffraction line list of CaBi5Pd6 (a crystal structure in Alexandria, relaxed with GGA-PBE; Cu Ka).
Kinematic intensities with the Lorentz-polarization factor, no thermal factor.

Structural model:
```
CaBi5Pd6
1.0
2.853 -6.765 0.000
2.853 6.765 0.000
-1.630 0.000 7.089
Ca Bi Pd
1 5 6
direct
0.000 0.000 0.000
0.000 0.000 0.500
0.316 0.684 0.000
0.357 0.643 0.500
0.643 0.357 0.500
0.684 0.316 0.000
0.108 0.751 0.293
0.249 0.892 0.707
0.413 0.413 0.801
0.587 0.587 0.199
0.751 0.108 0.293
0.892 0.249 0.707
```

Peak list (10 most intense, 10° ≤ 2θ ≤ 90°, by intensity)
d 2.332, I 100.0
d 2.688, I 96.6
d 2.780, I 62.7
d 2.374, I 39.2
d 2.255, I 34.6
d 4.646, I 28.5
d 1.384, I 27.5
d 2.232, I 25.6
d 2.473, I 23.9
d 1.751, I 21.6